1.
# AcNdTe2Au
Computed powder X-ray diffraction pattern, CuKα. Input: a DFT-relaxed cell (GGA-PBE, Alexandria).
Neutral-atom scattering factors, no anomalous dispersion.

Atomic structure:
```
10
Lattice="4.5790 0.0000 0.0000 0.0000 4.5790 0.0000 0.0000 0.0000 15.3241" Properties=species:S:1:pos:R:3 pbc="T T T"
Ac 1.1447 1.1447 1.4724
Ac 3.4342 3.4342 13.8517
Nd 1.1447 1.1447 9.7977
Nd 3.4342 3.4342 5.5264
Te 1.1447 1.1447 4.7983
Te 1.1447 1.1447 13.3311
Te 3.4342 3.4342 1.9929
Te 3.4342 3.4342 10.5258
Au 1.1447 3.4342 7.6620
Au 3.4342 1.1447 7.6620
```

The 10 most intense peaks (2θ from 5° to 70°), in order of falling intensity:
Position (°2θ)	I (rel.)
36.33	100
39.35	68
28.17	52
27.55	46
29.14	35
49.71	33
69.38	31
32.75	29
29.96	25
57.76	24

***

2.
# ZnCdSeS
Computed powder X-ray diffraction pattern, CuKα. Input: a DFT-relaxed cell (GGA-PBE, Alexandria).
Neutral-atom scattering factors, no anomalous dispersion.

Atomic structure:
```
4
Lattice="4.0893 0.0000 0.0000 -2.0447 3.5414 0.0000 0.0000 0.0000 6.8327" Properties=species:S:1:pos:R:3 pbc="T T T"
Zn 0.0000 0.0000 0.0000
Cd 2.0447 1.1805 3.6066
Se 0.0000 0.0000 2.4759
S 2.0447 1.1805 6.1621
```

The 10 most intense peaks (2θ from 5° to 70°), in order of falling intensity:
Position (°2θ)	I (rel.)
28.39	100
25.15	91
47.46	82
44.30	76
36.55	52
26.08	45
52.13	37
66.94	28
12.96	27
53.46	17

***

3.
# Pm3Zn8Au
Computed powder X-ray diffraction pattern, CuKα. Input: a DFT-relaxed cell (GGA-PBE, Alexandria).
Neutral-atom scattering factors, no anomalous dispersion.

Atomic structure:
```
12
Lattice="2.7280 1.5750 8.9817 -2.7280 1.5750 8.9817 0.0000 -3.1500 8.9817" Properties=species:S:1:pos:R:3 pbc="T T T"
Pm 0.0000 0.0000 0.0000
Pm 0.0000 0.0000 3.4360
Pm 0.0000 0.0000 13.8417
Zn 0.0000 -1.5837 6.3099
Zn -1.3715 0.7918 6.3099
Zn -1.3538 -0.7816 10.7757
Zn 0.0000 0.0000 8.5307
Zn 1.3538 -0.7816 10.7756
Zn 0.0000 1.5633 10.7756
Zn 1.3715 0.7918 6.3099
Zn 0.0000 0.0000 22.0119
Au 0.0000 0.0000 17.1034
```

The 10 most intense peaks (2θ from 5° to 70°), in order of falling intensity:
Position (°2θ)	I (rel.)
38.64	100
32.83	39
32.65	37
38.46	32
40.46	18
68.83	16
62.49	16
62.38	15
58.50	14
68.41	14